For GdDyAsI2, the PBE geometry in OQMD gives the theoretical powder X-ray diffraction pattern in this record (CuKα).
Peak positions follow from Bragg's law for the DFT cell and can differ from measured ones.

Atomic structure:
Cell: 4.1911 4.1911 10.9314 Å, 90.00 90.00 120.00°
Space group P3m1 (No. 156)
Inequivalent atoms, fractional coordinates:
Gd1 0.0000 0.0000 0.0000 [1 per cell]
Dy1 0.3333 0.6667 0.2833 [1 per cell]
As1 0.6667 0.3333 0.1439 [1 per cell]
I1 0.0000 0.0000 0.4674 [1 per cell]
I2 0.3333 0.6667 0.8136 [1 per cell]

Peak list (6 most intense, 2θ from 5° to 70°, sorted by position)
Position (°2θ)	I/Imax
8.1	34
24.5	15
29.5	100
41.4	30
43.2	32
53.2	19

For Zr3IrSe, the PBE geometry in OQMD gives the theoretical powder X-ray diffraction pattern in this record (CuKα).
Peak positions follow from Bragg's law for the DFT cell and can differ from measured ones.

Atomic structure:
Cell: 3.550 12.373 9.688 Å, 90.00 90.00 90.00°
Space group Cmcm (No. 63)
Inequivalent atoms, fractional coordinates:
Zr1 0.000 0.080 0.250 [4 per cell]
Zr2 0.000 0.342 0.077 [8 per cell]
Ir1 0.000 0.255 0.750 [4 per cell]
Se1 0.000 0.000 0.000 [4 per cell]

Peak list (6 most intense, 2θ from 5° to 70°, sorted by position)
Position (°2θ)	I/Imax
23.3	47
31.2	52
33.3	53
34.6	100
38.4	77
47.9	48

For Zr2TlC, the PBE geometry in OQMD gives the theoretical powder X-ray diffraction pattern in this record (CuKα).
Peak positions follow from Bragg's law for the DFT cell and can differ from measured ones.

Atomic structure:
Cell: 3.3920 3.3920 15.0947 Å, 90.00 90.00 120.00°
Space group P6_3/mmc (No. 194)
Inequivalent atoms, fractional coordinates:
Zr1 0.3333 0.6667 0.0815 [4 per cell]
Tl1 0.3333 0.6667 0.7500 [2 per cell]
C1 0.0000 0.0000 0.0000 [2 per cell]

Peak list (6 most intense, 2θ from 5° to 70°, sorted by position)
Position (°2θ)	I/Imax
30.4	22
35.4	100
35.7	20
54.1	21
63.9	18
66.5	20